[1]
This entry pairs a crystal structure of Dy5FeHg2 with its calculated XRD peak list. Radiation: Cu Ka. Structure: a crystal structure in Alexandria, relaxed with GGA-PBE.
Intensities are scaled so that the largest is 100.

Cell and atoms:
```
Dy5FeHg2
1.0
8.695 0.000 0.000
0.000 12.104 0.000
0.000 0.000 4.051
Dy Fe Hg
10 2 4
Cartesian
0.000 0.000 0.000 Dy
1.253 3.770 0.000 Dy
1.536 6.918 2.025 Dy
2.812 0.866 2.025 Dy
3.094 9.822 0.000 Dy
4.347 6.052 0.000 Dy
5.600 2.282 0.000 Dy
5.883 11.237 2.025 Dy
7.159 5.186 2.025 Dy
7.442 8.333 0.000 Dy
0.000 6.052 0.000 Fe
4.347 0.000 0.000 Fe
0.595 9.953 2.025 Hg
3.753 3.901 2.025 Hg
4.942 8.203 2.025 Hg
8.100 2.151 2.025 Hg
```

Main lines, sorted by position (15° ≤ 2θ ≤ 90°):
- d 3.139, I = 20, (1 2 1)
- d 2.879, I = 100, (2 1 1)
- d 2.858, I = 52, (1 4 0)
- d 2.819, I = 31, (3 1 0)
- d 2.716, I = 85, (1 3 1)
- d 2.662, I = 55, (2 2 1)
- d 2.614, I = 17, (3 2 0)
- d 2.025, I = 33, (0 0 2)
- d 2.020, I = 22, (0 6 0)
- d 1.653, I = 21, (1 4 2)
- d 1.645, I = 13, (3 1 2)
- d 1.545, I = 15, (5 2 1)

=====

[2]
This entry pairs a crystal structure of AlAgSn with its calculated XRD peak list. Radiation: Cu Ka. Structure: a crystal structure in Alexandria, relaxed with GGA-PBE.
Intensities are scaled so that the largest is 100.

Cell and atoms:
```
AlAgSn
1.0
3.104 0.000 0.000
0.000 3.962 0.000
-1.459 0.000 10.217
Al Ag Sn
2 2 2
Cartesian
0.046 0.990 4.374 Al
1.600 2.971 5.843 Al
0.047 0.990 7.107 Ag
1.598 2.971 3.111 Ag
0.026 0.990 1.277 Sn
1.620 2.971 8.941 Sn
```

Main lines, sorted by position (15° ≤ 2θ ≤ 90°):
- d 5.109, I = 28, (0 0 2)
- d 3.131, I = 100, (0 1 2)
- d 2.834, I = 24, (1 0 1)
- d 2.815, I = 25, (1 0 -2)
- d 2.583, I = 60, (0 1 3)
- d 2.426, I = 93, (1 1 0)
- d 2.305, I = 21, (1 1 1)
- d 2.295, I = 23, (1 1 -2)
- d 2.147, I = 22, (0 1 4)
- d 2.136, I = 34, (1 0 3)
- d 2.117, I = 34, (1 0 -4)
- d 1.981, I = 32, (0 2 0)